Diffraction record for Ti5Ga2Pt. The powder X-ray diffraction pattern is theoretical, not measured: it uses the PBE geometry in Alexandria and Cu Kα, 1.54184 Å.
No peak broadening, texture or thermal motion is included.

Structural model:
Cell: 7.4721 7.4721 7.4721 Å, 125.90 125.90 80.06°
Sites, in units of the cell vectors:
Ti 0.0000 0.0000 0.0000
Ti 0.0016 0.5016 0.8162
Ti 0.1854 0.0016 0.5000
Ti 0.3146 0.8146 0.8162
Ti 0.4984 0.3146 0.5000
Ti 0.5000 0.5000 0.0000
Ti 0.5016 0.6854 0.5000
Ti 0.6854 0.1854 0.1838
Ti 0.8146 0.9984 0.5000
Ti 0.9984 0.4984 0.1838
Ga 0.1378 0.3622 0.5000
Ga 0.3622 0.8622 0.2245
Ga 0.6378 0.1378 0.7755
Ga 0.8622 0.6378 0.5000
Pt 0.2500 0.2500 0.0000
Pt 0.7500 0.7500 0.0000

Peak list (10 most intense, 2θ from 15° to 90°, most intense first)
Position (°2θ)	d (Å)	I_rel
42.0	2.149	100
37.8	2.377	97
24.2	3.680	80
41.3	2.189	43
36.6	2.458	39
53.3	1.718	36
18.5	4.806	32
37.4	2.403	29
30.6	2.922	25
51.6	1.773	21